Record 1
Calculated powder X-ray diffraction pattern
Compound: Er4Sb6O19
Radiation: a wavelength of 1.5418 Å
Structure: the PBE geometry in Alexandria
Neutral-atom scattering factors, no anomalous dispersion.

Main lines, by intensity (5 to 70 degrees two-theta):
2theta  intensity  (hkl)
30.82  100.0  1 -2 2
30.06  85.8  -2 2 1
23.26  77.1  0 2 -1
29.93  53.0  2 1 -2
29.85  50.7  1 2 -1
23.08  50.2  1 1 0
23.38  47.8  0 1 -2
29.64  45.4  -1 1 2

Structure:
Lattice parameters (Å, degrees): 8.045 8.061 8.159 108.26 111.25 108.16
Space group P1 (No. 1)
Asymmetric unit:
Er (0.000, 0.000, 0.000) (multiplicity 1)
Er (0.002, 0.261, 0.716) (multiplicity 1)
Er (0.269, 0.966, 0.693) (multiplicity 1)
Er (0.724, 0.683, 0.409) (multiplicity 1)
Sb (0.144, 0.501, 0.393) (multiplicity 1)
Sb (0.323, 0.803, 0.203) (multiplicity 1)
Sb (0.479, 0.300, 0.526) (multiplicity 1)
Sb (0.500, 0.636, 0.882) (multiplicity 1)
Sb (0.653, 0.132, 0.203) (multiplicity 1)
Sb (0.832, 0.433, 0.013) (multiplicity 1)
O (0.008, 0.689, 0.445) (multiplicity 1)
O (0.037, 0.736, 0.058) (multiplicity 1)
O (0.228, 0.242, 0.305) (multiplicity 1)
O (0.276, 0.578, 0.950) (multiplicity 1)
O (0.329, 0.703, 0.694) (multiplicity 1)
O (0.345, 0.325, 0.705) (multiplicity 1)
O (0.347, 0.974, 0.063) (multiplicity 1)
O (0.352, 0.009, 0.458) (multiplicity 1)
O (0.400, 0.663, 0.350) (multiplicity 1)
O (0.584, 0.190, 0.976) (multiplicity 1)
O (0.618, 0.361, 0.369) (multiplicity 1)
O (0.624, 0.603, 0.703) (multiplicity 1)
O (0.632, 0.964, 0.341) (multiplicity 1)
O (0.661, 0.606, 0.104) (multiplicity 1)
O (0.716, 0.930, 0.036) (multiplicity 1)
O (0.735, 0.316, 0.712) (multiplicity 1)
O (0.937, 0.287, 0.430) (multiplicity 1)
O (0.970, 0.248, 0.964) (multiplicity 1)
O (0.999, 0.979, 0.704) (multiplicity 1)

***

Record 2
Calculated powder X-ray diffraction pattern
Compound: Er2SbO
Radiation: a wavelength of 1.5418 Å
Structure: the PBE geometry in Alexandria
Neutral-atom scattering factors, no anomalous dispersion.

Main lines, by intensity (5 to 70 degrees two-theta):
2theta  intensity  (hkl)
30.28  100.0  1 1 -1
29.70  52.3  2 0 1
36.87  51.8  1 1 2
48.36  29.9  3 1 0
35.50  28.7  0 0 3
35.90  27.9  2 0 -2
56.25  20.8  1 1 -4
61.71  17.3  4 0 2

Structure:
Lattice parameters (Å, degrees): 6.587 3.657 7.587 90.00 90.67 90.00
Space group Cm (No. 8)
Asymmetric unit:
Er (0.000, 0.000, 0.000) (multiplicity 2)
Er (0.166, 0.500, 0.615) (multiplicity 2)
Sb (0.333, 0.000, 0.310) (multiplicity 2)
O (0.497, 0.500, 0.713) (multiplicity 2)

***

Record 3
Calculated powder X-ray diffraction pattern
Compound: ErTmSb2O8
Radiation: a wavelength of 1.5418 Å
Structure: the PBE geometry in Alexandria
Neutral-atom scattering factors, no anomalous dispersion.

Main lines, by intensity (5 to 70 degrees two-theta):
2theta  intensity  (hkl)
29.09  100.0  1 1 2
47.90  31.3  2 0 4
58.39  28.2  1 3 2
34.40  20.7  2 0 0
55.63  16.3  1 1 6
49.44  15.0  2 2 0
32.29  13.7  0 0 4
60.29  10.7  2 2 4

Structure:
Lattice parameters (Å, degrees): 5.214 5.214 11.088 90.00 90.00 90.00
Space group I-4 (No. 82)
Asymmetric unit:
Er (0.000, 0.000, 0.000) (multiplicity 2)
Tm (0.000, 0.500, 0.250) (multiplicity 2)
Sb (0.000, 0.000, 0.500) (multiplicity 2)
Sb (0.000, 0.500, 0.750) (multiplicity 2)
O (0.185, 0.256, 0.410) (multiplicity 8)
O (0.187, 0.756, 0.840) (multiplicity 8)

***

Please write out number 3 again, unchanged.
Calculated powder X-ray diffraction pattern
Compound: ErTmSb2O8
Radiation: a wavelength of 1.5418 Å
Structure: the PBE geometry in Alexandria
Neutral-atom scattering factors, no anomalous dispersion.

Main lines, by intensity (5 to 70 degrees two-theta):
2theta  intensity  (hkl)
29.09  100.0  1 1 2
47.90  31.3  2 0 4
58.39  28.2  1 3 2
34.40  20.7  2 0 0
55.63  16.3  1 1 6
49.44  15.0  2 2 0
32.29  13.7  0 0 4
60.29  10.7  2 2 4

Structure:
Lattice parameters (Å, degrees): 5.214 5.214 11.088 90.00 90.00 90.00
Space group I-4 (No. 82)
Asymmetric unit:
Er (0.000, 0.000, 0.000) (multiplicity 2)
Tm (0.000, 0.500, 0.250) (multiplicity 2)
Sb (0.000, 0.000, 0.500) (multiplicity 2)
Sb (0.000, 0.500, 0.750) (multiplicity 2)
O (0.185, 0.256, 0.410) (multiplicity 8)
O (0.187, 0.756, 0.840) (multiplicity 8)